Theoretical XRD peak list
Compound: HfW4O12
Radiation: copper Kα
Structure: the GGA+U geometry in Alexandria
No peak broadening, texture or thermal motion is included.

Cell and atoms:
Cell lengths 6.664, 6.664, 6.664 Å; angles 107.99, 107.99, 112.48 degrees
Element x y z (fractional)
Hf 0.000 0.000 0.000
W 0.000 0.000 0.500
W 0.000 0.500 0.000
W 0.500 0.000 0.000
W 0.500 0.500 0.500
O 0.051 0.822 0.229
O 0.178 0.407 0.229
O 0.178 0.949 0.771
O 0.302 0.302 0.605
O 0.302 0.698 0.000
O 0.407 0.178 0.229
O 0.593 0.822 0.771
O 0.698 0.302 0.000
O 0.698 0.698 0.395
O 0.822 0.051 0.229
O 0.822 0.593 0.771
O 0.949 0.178 0.771

Largest 10 diffraction maxima, most intense first, 2θ = 10–80°:
two_theta, I/Imax
33.3, 100
22.7, 67
32.3, 50
58.3, 46
46.4, 30
16.5, 28
24.0, 26
60.1, 24
16.0, 17
40.7, 15